[1]
Theoretical XRD peak list of Co3C2Se2O10 for λ = 1.5418 Å (Cu Kα), from a GGA+U-relaxed structure.

Largest 8 diffraction maxima, sorted by position, 2θ = 5–70°:
2θ (°), I_rel
12.6, 43
24.5, 48
25.3, 22
26.9, 100
34.1, 33
34.8, 29
35.4, 48
52.8, 32

Atomic structure:
```
data_Co3C2Se2O10
_chemical_formula_sum 'Co3 C2 Se2 O10'
_cell_length_a 5.711
_cell_length_b 5.711
_cell_length_c 7.935
_cell_angle_alpha 112.17
_cell_angle_beta 112.17
_cell_angle_gamma 70.97
_symmetry_space_group_name_H-M 'P 1'
_symmetry_Int_Tables_number 1
_symmetry_space_group_name_Hall 'P 1'
loop_
_atom_site_label
_atom_site_type_symbol
_atom_site_fract_x
_atom_site_fract_y
_atom_site_fract_z
Co1 Co 0.000 0.000 0.000
Co2 Co 0.308 0.308 0.819
Co3 Co 0.692 0.692 0.181
C1 C 0.043 0.043 0.436
C2 C 0.957 0.957 0.564
Se1 Se 0.341 0.341 0.258
Se2 Se 0.659 0.659 0.742
O1 O 0.006 0.383 0.152
O2 O 0.051 0.051 0.743
O3 O 0.196 0.196 0.519
O4 O 0.383 0.006 0.152
O5 O 0.441 0.441 0.121
O6 O 0.559 0.559 0.879
O7 O 0.617 0.994 0.848
O8 O 0.804 0.804 0.481
O9 O 0.949 0.949 0.257
O10 O 0.994 0.617 0.848
```

=====

[2]
Theoretical XRD peak list of VO2F for λ = 1.5418 Å (Cu Kα), from a GGA+U-relaxed structure.

Largest 8 diffraction maxima, sorted by position, 2θ = 5–70°:
2θ (°), I_rel
24.1, 100
34.1, 13
34.7, 5
35.4, 5
40.6, 13
49.4, 19
55.3, 18
56.1, 8

Atomic structure:
```
data_VO2F
_chemical_formula_sum 'V6 O12 F6'
_cell_length_a 5.174
_cell_length_b 5.174
_cell_length_c 13.007
_cell_angle_alpha 90.00
_cell_angle_beta 90.00
_cell_angle_gamma 120.00
_symmetry_space_group_name_H-M 'P 1'
_symmetry_Int_Tables_number 1
_symmetry_space_group_name_Hall 'P 1'
loop_
_atom_site_label
_atom_site_type_symbol
_atom_site_fract_x
_atom_site_fract_y
_atom_site_fract_z
V1 V 0.052 0.347 0.000
V2 V 0.296 0.948 0.667
V3 V 0.403 0.043 0.166
V4 V 0.641 0.597 0.833
V5 V 0.653 0.704 0.333
V6 V 0.957 0.359 0.500
O1 O 0.006 0.761 0.747
O2 O 0.239 0.245 0.081
O3 O 0.254 0.671 0.582
O4 O 0.329 0.583 0.915
O5 O 0.417 0.746 0.248
O6 O 0.425 0.340 0.746
O7 O 0.586 0.334 0.245
O8 O 0.660 0.086 0.079
O9 O 0.666 0.252 0.578
O10 O 0.748 0.414 0.911
O11 O 0.755 0.994 0.414
O12 O 0.914 0.575 0.412
F1 F 0.069 0.659 0.080
F2 F 0.089 0.080 0.581
F3 F 0.341 0.410 0.414
F4 F 0.590 0.931 0.747
F5 F 0.920 0.009 0.914
F6 F 0.991 0.911 0.247
```

=====

[3]
Theoretical XRD peak list of KGdMo2O8 for λ = 1.5418 Å (Cu Kα), from a GGA+U-relaxed structure.

Largest 8 diffraction maxima, sorted by position, 2θ = 5–70°:
2θ (°), I_rel
8.5, 100
26.8, 53
27.3, 46
27.5, 51
27.7, 53
30.0, 26
31.5, 25
52.2, 26

Atomic structure:
```
data_KGdMo2O8
_chemical_formula_sum 'K2 Gd2 Mo4 O16'
_cell_length_a 5.371
_cell_length_b 7.044
_cell_length_c 10.845
_cell_angle_alpha 94.30
_cell_angle_beta 103.16
_cell_angle_gamma 112.41
_symmetry_space_group_name_H-M 'P 1'
_symmetry_Int_Tables_number 1
_symmetry_space_group_name_Hall 'P 1'
loop_
_atom_site_label
_atom_site_type_symbol
_atom_site_fract_x
_atom_site_fract_y
_atom_site_fract_z
K1 K 0.190 0.305 0.057
K2 K 0.810 0.695 0.943
Gd1 Gd 0.307 0.185 0.438
Gd2 Gd 0.693 0.815 0.562
Mo1 Mo 0.043 0.429 0.670
Mo2 Mo 0.425 0.061 0.783
Mo3 Mo 0.575 0.939 0.217
Mo4 Mo 0.957 0.571 0.330
O1 O 0.057 0.358 0.308
O2 O 0.174 0.059 0.628
O3 O 0.236 0.414 0.819
O4 O 0.252 0.000 0.903
O5 O 0.273 0.813 0.415
O6 O 0.287 0.484 0.568
O7 O 0.291 0.695 0.154
O8 O 0.426 0.125 0.250
O9 O 0.574 0.875 0.750
O10 O 0.709 0.305 0.846
O11 O 0.713 0.516 0.432
O12 O 0.727 0.187 0.585
O13 O 0.748 0.000 0.097
O14 O 0.764 0.586 0.181
O15 O 0.826 0.941 0.372
O16 O 0.943 0.642 0.692
```

=====

[4]
Theoretical XRD peak list of Li5Cr17Si2O32 for λ = 1.5418 Å (Cu Kα), from a GGA+U-relaxed structure.

Largest 8 diffraction maxima, sorted by position, 2θ = 5–70°:
2θ (°), I_rel
18.2, 90
18.5, 100
35.4, 58
35.5, 87
35.8, 69
42.8, 46
43.4, 91
62.5, 43

Atomic structure:
```
data_Li5Cr17Si2O32
_chemical_formula_sum 'Li5 Cr17 Si2 O32'
_cell_length_a 8.342
_cell_length_b 8.342
_cell_length_c 8.445
_cell_angle_alpha 90.17
_cell_angle_beta 90.17
_cell_angle_gamma 88.96
_symmetry_space_group_name_H-M 'P 1'
_symmetry_Int_Tables_number 1
_symmetry_space_group_name_Hall 'P 1'
loop_
_atom_site_label
_atom_site_type_symbol
_atom_site_fract_x
_atom_site_fract_y
_atom_site_fract_z
Li1 Li 0.000 0.000 0.000
Li2 Li 0.248 0.248 0.759
Li3 Li 0.248 0.755 0.251
Li4 Li 0.755 0.248 0.251
Li5 Li 0.756 0.756 0.758
Cr1 Cr 0.004 0.498 0.503
Cr2 Cr 0.124 0.124 0.372
Cr3 Cr 0.125 0.880 0.629
Cr4 Cr 0.127 0.624 0.885
Cr5 Cr 0.375 0.883 0.884
Cr6 Cr 0.379 0.379 0.373
Cr7 Cr 0.379 0.625 0.626
Cr8 Cr 0.498 0.004 0.503
Cr9 Cr 0.503 0.503 0.006
Cr10 Cr 0.624 0.127 0.885
Cr11 Cr 0.624 0.624 0.382
Cr12 Cr 0.625 0.379 0.626
Cr13 Cr 0.625 0.885 0.128
Cr14 Cr 0.880 0.125 0.629
Cr15 Cr 0.880 0.880 0.380
Cr16 Cr 0.883 0.375 0.884
Cr17 Cr 0.885 0.625 0.128
Si1 Si 0.125 0.372 0.120
Si2 Si 0.372 0.125 0.120
O1 O 0.117 0.888 0.390
O2 O 0.119 0.119 0.610
O3 O 0.122 0.381 0.909
O4 O 0.126 0.591 0.122
O5 O 0.133 0.630 0.643
O6 O 0.135 0.372 0.340
O7 O 0.139 0.862 0.865
O8 O 0.153 0.153 0.131
O9 O 0.354 0.354 0.129
O10 O 0.372 0.135 0.340
O11 O 0.374 0.635 0.871
O12 O 0.374 0.870 0.643
O13 O 0.379 0.911 0.121
O14 O 0.381 0.122 0.909
O15 O 0.386 0.386 0.610
O16 O 0.387 0.616 0.389
O17 O 0.591 0.126 0.122
O18 O 0.613 0.893 0.896
O19 O 0.615 0.615 0.616
O20 O 0.616 0.387 0.389
O21 O 0.630 0.133 0.643
O22 O 0.631 0.870 0.371
O23 O 0.635 0.374 0.871
O24 O 0.638 0.638 0.135
O25 O 0.862 0.139 0.865
O26 O 0.863 0.863 0.144
O27 O 0.870 0.374 0.643
O28 O 0.870 0.631 0.371
O29 O 0.888 0.117 0.390
O30 O 0.889 0.889 0.616
O31 O 0.893 0.613 0.896
O32 O 0.911 0.379 0.121
```

=====

[5]
Theoretical XRD peak list of LiNi2O2F for λ = 1.5418 Å (Cu Kα), from a GGA+U-relaxed structure.

Largest 8 diffraction maxima, sorted by position, 2θ = 5–70°:
2θ (°), I_rel
7.0, 100
14.1, 8
31.0, 6
33.5, 14
37.2, 25
41.9, 8
43.2, 59
62.7, 34

Atomic structure:
```
data_LiNi2O2F
_chemical_formula_sum 'Li2 Ni4 O4 F2'
_cell_length_a 2.960
_cell_length_b 2.960
_cell_length_c 12.577
_cell_angle_alpha 90.00
_cell_angle_beta 90.00
_cell_angle_gamma 90.00
_symmetry_space_group_name_H-M 'P 1'
_symmetry_Int_Tables_number 1
_symmetry_space_group_name_Hall 'P 1'
loop_
_atom_site_label
_atom_site_type_symbol
_atom_site_fract_x
_atom_site_fract_y
_atom_site_fract_z
Li1 Li 0.250 0.250 0.084
Li2 Li 0.750 0.750 0.916
Ni1 Ni 0.250 0.250 0.415
Ni2 Ni 0.250 0.250 0.750
Ni3 Ni 0.750 0.750 0.250
Ni4 Ni 0.750 0.750 0.585
O1 O 0.250 0.250 0.247
O2 O 0.250 0.250 0.584
O3 O 0.750 0.750 0.416
O4 O 0.750 0.750 0.753
F1 F 0.250 0.250 0.922
F2 F 0.750 0.750 0.078
```

=====

[6]
Theoretical XRD peak list of Mg14NbCrO16 for λ = 1.5418 Å (Cu Kα), from a GGA+U-relaxed structure.

Largest 8 diffraction maxima, sorted by position, 2θ = 5–70°:
2θ (°), I_rel
10.1, 39
36.0, 63
41.4, 100
42.0, 97
42.2, 96
60.4, 56
60.6, 56
61.0, 55

Atomic structure:
```
data_Mg14NbCrO16
_chemical_formula_sum 'Mg14 Nb1 Cr1 O16'
_cell_length_a 4.284
_cell_length_b 8.613
_cell_length_c 8.721
_cell_angle_alpha 90.00
_cell_angle_beta 90.00
_cell_angle_gamma 90.00
_symmetry_space_group_name_H-M 'P 1'
_symmetry_Int_Tables_number 1
_symmetry_space_group_name_Hall 'P 1'
loop_
_atom_site_label
_atom_site_type_symbol
_atom_site_fract_x
_atom_site_fract_y
_atom_site_fract_z
Mg1 Mg 0.000 0.000 0.000
Mg2 Mg 0.000 0.247 0.246
Mg3 Mg 0.000 0.247 0.754
Mg4 Mg 0.000 0.500 0.000
Mg5 Mg 0.000 0.753 0.246
Mg6 Mg 0.000 0.753 0.754
Mg7 Mg 0.500 0.000 0.246
Mg8 Mg 0.500 0.000 0.754
Mg9 Mg 0.500 0.245 0.500
Mg10 Mg 0.500 0.249 0.000
Mg11 Mg 0.500 0.500 0.245
Mg12 Mg 0.500 0.500 0.755
Mg13 Mg 0.500 0.751 0.000
Mg14 Mg 0.500 0.755 0.500
Nb1 Nb 0.000 0.500 0.500
Cr1 Cr 0.000 0.000 0.500
O1 O 0.000 0.000 0.234
O2 O 0.000 0.000 0.766
O3 O 0.000 0.241 0.500
O4 O 0.000 0.252 0.000
O5 O 0.000 0.500 0.239
O6 O 0.000 0.500 0.761
O7 O 0.000 0.748 0.000
O8 O 0.000 0.759 0.500
O9 O 0.500 0.000 0.000
O10 O 0.500 0.000 0.500
O11 O 0.500 0.250 0.251
O12 O 0.500 0.250 0.749
O13 O 0.500 0.500 0.000
O14 O 0.500 0.500 0.500
O15 O 0.500 0.750 0.251
O16 O 0.500 0.750 0.749
```